# 1
Structure and calculated powder XRD pattern of ThAsO6 (a PBE-relaxed structure; Cu Kα (λ = 1.5418 Å)).

Structure:
Cell: 5.819 5.819 5.819 Å, 59.85 59.85 59.85°
Atoms (fractional coordinates):
Th 0.000 0.000 0.000
As 0.500 0.500 0.500
O 0.276 0.281 0.721
O 0.279 0.724 0.719
O 0.281 0.721 0.276
O 0.719 0.279 0.724
O 0.721 0.276 0.281
O 0.724 0.719 0.279

Principal peaks in the range 10 to 90 degrees two-theta, sorted by position:
- d 4.746, 2θ 18.7, intensity 24
- d 4.110, 2θ 21.6, intensity 100
- d 2.906, 2θ 30.8, intensity 53
- d 2.478, 2θ 36.2, intensity 21
- d 2.371, 2θ 37.9, intensity 9
- d 2.055, 2θ 44.1, intensity 20
- d 1.838, 2θ 49.6, intensity 41
- d 1.677, 2θ 54.7, intensity 16
- d 1.369, 2θ 68.5, intensity 15
- d 1.097, 2θ 89.3, intensity 6


# 2
Structure and calculated powder XRD pattern of ThCuH2 (a PBE-relaxed structure; Cu Kα (λ = 1.5418 Å)).

Structure:
Cell: 3.958 4.213 6.382 Å, 90.00 108.14 90.00°
Atoms (fractional coordinates):
Th 0.140 0.250 0.284
Th 0.860 0.750 0.716
Cu 0.439 0.250 0.876
Cu 0.561 0.750 0.124
H 0.055 0.750 0.108
H 0.244 0.750 0.488
H 0.756 0.250 0.512
H 0.945 0.250 0.892

Principal peaks in the range 10 to 90 degrees two-theta, sorted by position:
- d 3.460, 2θ 25.7, intensity 61
- d 3.033, 2θ 29.5, intensity 32
- d 2.828, 2θ 31.6, intensity 66
- d 2.806, 2θ 31.9, intensity 100
- d 2.461, 2θ 36.5, intensity 23
- d 2.348, 2θ 38.3, intensity 43
- d 2.107, 2θ 42.9, intensity 25
- d 1.979, 2θ 45.9, intensity 21
- d 1.823, 2θ 50.0, intensity 20
- d 1.689, 2θ 54.3, intensity 30


# 3
Structure and calculated powder XRD pattern of Ce2SiNi4 (a PBE-relaxed structure; Cu Kα (λ = 1.5418 Å)).

Structure:
Cell: 9.821 9.821 2.863 Å, 90.00 90.00 156.73°
Atoms (fractional coordinates):
Ce 0.199 0.801 0.000
Ce 0.801 0.199 0.000
Si 0.500 0.500 0.500
Ni 0.067 0.933 0.500
Ni 0.406 0.594 0.000
Ni 0.594 0.406 0.000
Ni 0.933 0.067 0.500

Principal peaks in the range 10 to 90 degrees two-theta, sorted by position:
- d 3.370, 2θ 26.4, intensity 32
- d 2.863, 2θ 31.2, intensity 18
- d 2.760, 2θ 32.4, intensity 51
- d 2.744, 2θ 32.6, intensity 43
- d 2.405, 2θ 37.4, intensity 19
- d 2.258, 2θ 39.9, intensity 27
- d 2.182, 2θ 41.4, intensity 24
- d 1.987, 2θ 45.7, intensity 100
- d 1.981, 2θ 45.8, intensity 32
- d 1.597, 2θ 57.7, intensity 19


# 4
Structure and calculated powder XRD pattern of La4Br3O4 (a PBE-relaxed structure; Cu Kα (λ = 1.5418 Å)).

Structure:
Cell: 8.680 8.680 8.680 Å, 155.12 118.45 67.44°
Atoms (fractional coordinates):
La 0.199 0.199 0.000
La 0.260 0.500 0.760
La 0.740 0.500 0.240
La 0.801 0.801 0.000
Br 0.000 0.000 0.000
Br 0.384 0.884 0.500
Br 0.616 0.116 0.500
O 0.012 0.352 0.660
O 0.308 0.648 0.660
O 0.692 0.352 0.340
O 0.988 0.648 0.340

Principal peaks in the range 10 to 90 degrees two-theta, sorted by position:
- d 3.783, 2θ 23.5, intensity 43
- d 2.953, 2θ 30.3, intensity 31
- d 2.806, 2θ 31.9, intensity 100
- d 2.746, 2θ 32.6, intensity 30
- d 2.493, 2θ 36.0, intensity 27
- d 2.221, 2θ 40.6, intensity 19
- d 2.067, 2θ 43.8, intensity 17
- d 2.032, 2θ 44.6, intensity 25
- d 1.870, 2θ 48.7, intensity 15
- d 1.775, 2θ 51.5, intensity 20


# 5
Structure and calculated powder XRD pattern of KGeH2Rh2 (a PBE-relaxed structure; Cu Kα (λ = 1.5418 Å)).

Structure:
Cell: 6.001 5.772 6.636 Å, 90.00 116.82 90.00°
Atoms (fractional coordinates):
K 0.250 0.250 0.000
K 0.750 0.750 0.000
Ge 0.084 0.750 0.668
Ge 0.916 0.250 0.332
H 0.243 0.750 0.340
H 0.404 0.250 0.659
H 0.596 0.750 0.341
H 0.757 0.250 0.660
Rh 0.273 0.000 0.500
Rh 0.273 0.500 0.500
Rh 0.727 0.000 0.500
Rh 0.727 0.500 0.500

Principal peaks in the range 10 to 90 degrees two-theta, sorted by position:
- d 5.922, 2θ 15.0, intensity 100
- d 2.961, 2θ 30.2, intensity 19
- d 2.864, 2θ 31.2, intensity 21
- d 2.677, 2θ 33.5, intensity 27
- d 2.594, 2θ 34.6, intensity 26
- d 2.080, 2θ 43.5, intensity 30
- d 2.067, 2θ 43.8, intensity 13
- d 1.962, 2θ 46.3, intensity 20
- d 1.649, 2θ 55.7, intensity 14
- d 1.629, 2θ 56.5, intensity 16


# 6
Structure and calculated powder XRD pattern of BaLi2Pd2 (a PBE-relaxed structure; Cu Kα (λ = 1.5418 Å)).

Structure:
Cell: 6.483 6.483 6.483 Å, 140.49 140.49 57.11°
Atoms (fractional coordinates):
Ba 0.000 0.000 0.000
Li 0.250 0.750 0.500
Li 0.750 0.250 0.500
Pd 0.381 0.381 0.000
Pd 0.619 0.619 0.000

Principal peaks in the range 10 to 90 degrees two-theta, sorted by position:
- d 5.695, 2θ 15.6, intensity 35
- d 3.099, 2θ 28.8, intensity 99
- d 2.870, 2θ 31.2, intensity 100
- d 2.722, 2θ 32.9, intensity 30
- d 2.191, 2θ 41.2, intensity 42
- d 2.021, 2θ 44.8, intensity 49
- d 1.742, 2θ 52.5, intensity 45
- d 1.550, 2θ 59.7, intensity 14
- d 1.486, 2θ 62.5, intensity 36
- d 1.386, 2θ 67.6, intensity 17


# 7
Structure and calculated powder XRD pattern of NaInSeO4 (a PBE-relaxed structure; Cu Kα (λ = 1.5418 Å)).

Structure:
Cell: 6.500 6.500 6.500 Å, 121.23 114.60 93.73°
Atoms (fractional coordinates):
Na 0.000 0.000 0.000
Na 0.500 0.000 0.500
In 0.500 0.000 0.000
In 0.500 0.500 0.500
Se 0.106 0.356 0.750
Se 0.894 0.644 0.250
O 0.221 0.256 0.535
O 0.221 0.687 0.965
O 0.296 0.749 0.547
O 0.298 0.251 0.047
O 0.702 0.749 0.953
O 0.704 0.251 0.453
O 0.779 0.313 0.035
O 0.779 0.744 0.465

Principal peaks in the range 10 to 90 degrees two-theta, sorted by position:
- d 5.510, 2θ 16.1, intensity 29
- d 4.444, 2θ 20.0, intensity 34
- d 3.511, 2θ 25.4, intensity 47
- d 3.236, 2θ 27.6, intensity 31
- d 2.907, 2θ 30.8, intensity 24
- d 2.759, 2θ 32.4, intensity 100
- d 2.730, 2θ 32.8, intensity 48
- d 2.361, 2θ 38.1, intensity 14
- d 1.846, 2θ 49.4, intensity 37
- d 1.618, 2θ 56.9, intensity 39


# 8
Structure and calculated powder XRD pattern of KIn2GaSb2 (a PBE-relaxed structure; Cu Kα (λ = 1.5418 Å)).

Structure:
Cell: 6.895 12.055 4.812 Å, 90.00 90.00 90.00°
Atoms (fractional coordinates):
K 0.000 0.000 0.000
K 0.500 0.500 0.500
In 0.240 0.313 0.000
In 0.260 0.813 0.500
In 0.740 0.187 0.500
In 0.760 0.687 0.000
Ga 0.000 0.500 0.000
Ga 0.500 0.000 0.500
Sb 0.170 0.182 0.500
Sb 0.330 0.682 0.000
Sb 0.670 0.318 0.000
Sb 0.830 0.818 0.500

Principal peaks in the range 10 to 90 degrees two-theta, sorted by position:
- d 6.027, 2θ 14.7, intensity 62
- d 4.469, 2θ 19.9, intensity 71
- d 3.315, 2θ 26.9, intensity 32
- d 3.301, 2θ 27.0, intensity 45
- d 3.084, 2θ 28.9, intensity 100
- d 2.992, 2θ 29.9, intensity 70
- d 2.406, 2θ 37.4, intensity 50
- d 2.299, 2θ 39.2, intensity 70
- d 2.156, 2θ 41.9, intensity 43
- d 1.875, 2θ 48.6, intensity 35


# 9
Structure and calculated powder XRD pattern of Ho4ZrP5 (a PBE-relaxed structure; Cu Kα (λ = 1.5418 Å)).

Structure:
Cell: 6.803 6.803 6.803 Å, 99.62 99.62 131.74°
Atoms (fractional coordinates):
Ho 0.098 0.300 0.398
Ho 0.300 0.902 0.203
Ho 0.700 0.098 0.797
Ho 0.902 0.700 0.602
Zr 0.500 0.500 0.000
P 0.000 0.000 0.000
P 0.208 0.598 0.806
P 0.402 0.208 0.610
P 0.598 0.792 0.390
P 0.792 0.402 0.194

Principal peaks in the range 10 to 90 degrees two-theta, sorted by position:
- d 3.208, 2θ 27.8, intensity 83
- d 2.778, 2θ 32.2, intensity 100
- d 1.964, 2θ 46.2, intensity 72
- d 1.675, 2θ 54.8, intensity 40
- d 1.604, 2θ 57.5, intensity 25
- d 1.388, 2θ 67.5, intensity 8
- d 1.275, 2θ 74.4, intensity 16
- d 1.243, 2θ 76.7, intensity 21
- d 1.242, 2θ 76.8, intensity 11
- d 1.134, 2θ 85.7, intensity 25


# 10
Structure and calculated powder XRD pattern of Ba5Hg (a PBE-relaxed structure; Cu Kα (λ = 1.5418 Å)).

Structure:
Cell: 7.877 7.877 10.759 Å, 112.35 112.35 32.08°
Atoms (fractional coordinates):
Ba 0.000 0.000 0.000
Ba 0.335 0.335 0.222
Ba 0.372 0.372 0.627
Ba 0.628 0.628 0.373
Ba 0.665 0.665 0.778
Hg 0.000 0.000 0.500

Principal peaks in the range 10 to 90 degrees two-theta, sorted by position:
- d 6.952, 2θ 12.7, intensity 18
- d 3.589, 2θ 24.8, intensity 35
- d 3.436, 2θ 25.9, intensity 62
- d 3.383, 2θ 26.3, intensity 100
- d 3.173, 2θ 28.1, intensity 100
- d 3.075, 2θ 29.0, intensity 21
- d 2.744, 2θ 32.6, intensity 23
- d 2.176, 2θ 41.5, intensity 27
- d 1.888, 2θ 48.2, intensity 21
- d 1.839, 2θ 49.6, intensity 25


# 11
Structure and calculated powder XRD pattern of Er2TiSe4 (a PBE-relaxed structure; Cu Kα (λ = 1.5418 Å)).

Structure:
Cell: 7.396 7.396 7.102 Å, 117.73 117.73 31.00°
Atoms (fractional coordinates):
Er 0.233 0.233 0.220
Er 0.767 0.767 0.780
Ti 0.500 0.500 0.500
Se 0.126 0.126 0.476
Se 0.387 0.387 0.075
Se 0.613 0.613 0.925
Se 0.874 0.874 0.524

Principal peaks in the range 10 to 90 degrees two-theta, sorted by position:
- d 6.241, 2θ 14.2, intensity 57
- d 3.454, 2θ 25.8, intensity 22
- d 3.063, 2θ 29.2, intensity 53
- d 3.033, 2θ 29.4, intensity 100
- d 2.365, 2θ 38.0, intensity 24
- d 2.325, 2θ 38.7, intensity 50
- d 2.306, 2θ 39.1, intensity 47
- d 2.031, 2θ 44.6, intensity 46
- d 1.977, 2θ 45.9, intensity 23
- d 1.661, 2θ 55.3, intensity 18


# 12
Structure and calculated powder XRD pattern of ScNbInHg2 (a PBE-relaxed structure; Cu Kα (λ = 1.5418 Å)).

Structure:
Cell: 5.428 5.428 4.841 Å, 90.00 90.00 90.00°
Atoms (fractional coordinates):
Sc 0.000 0.000 0.000
Nb 0.000 0.000 0.500
In 0.500 0.500 0.500
Hg 0.000 0.500 0.000
Hg 0.500 0.000 0.000

Principal peaks in the range 10 to 90 degrees two-theta, sorted by position:
- d 4.841, 2θ 18.3, intensity 13
- d 3.007, 2θ 29.7, intensity 100
- d 2.714, 2θ 33.0, intensity 51
- d 2.420, 2θ 37.1, intensity 19
- d 1.919, 2θ 47.4, intensity 19
- d 1.806, 2θ 50.5, intensity 31
- d 1.618, 2θ 56.9, intensity 33
- d 1.504, 2θ 61.7, intensity 17
- d 1.487, 2θ 62.4, intensity 12
- d 1.176, 2θ 82.0, intensity 12